The following is a computed X-ray powder pattern of Lu8Sb2C3N3. It was derived from a cell relaxed with GGA-PBE, using copper Kα.
Intensities are scaled so that the largest is 100.

The 12 most intense peaks (2θ = 10–80°), in order of rising 2θ:
d [Å]	I/Imax
2.971	28
2.915	28
2.719	67
2.614	50
2.596	93
2.465	100
1.726	58
1.506	16
1.441	49
1.437	15
1.434	19
1.414	17

Structural model:
```
data_Lu8Sb2C3N3
_chemical_formula_sum 'Lu8 Sb2 C3 N3'
_cell_length_a 3.4526
_cell_length_b 3.4526
_cell_length_c 26.1425
_cell_angle_alpha 90.00
_cell_angle_beta 90.00
_cell_angle_gamma 120.00
_space_group_name_H-M_alt 'P -3 m 1'
_space_group_IT_number 164
_space_group_name_Hall '-P 3 2"'
loop_
_atom_site_label
_atom_site_fract_x
_atom_site_fract_y
_atom_site_fract_z
_atom_site_occupancy
Lu1 0.0000 0.0000 0.1511 1
Lu2 0.0000 0.0000 0.3412 1
Lu3 0.3333 0.6667 0.5555 1
Lu4 0.3333 0.6667 0.9497 1
Sb1 0.3333 0.6667 0.7572 1
C1 0.0000 0.0000 0.5000 1
C2 0.3333 0.6667 0.3853 1
N1 0.0000 0.0000 0.0000 1
N2 0.3333 0.6667 0.1060 1
```